NaSnH: calculated powder XRD pattern (Cu Kα X-rays), based on a structure optimized by DFT (PBE).
Neutral-atom scattering factors, no anomalous dispersion.

Atomic structure:
abc: 4.5703 11.5455 4.9206
angles: 90.00 90.00 90.00
Space group Ama2 (No. 40)
Inequivalent atoms, fractional coordinates:
Na (0.2500, 0.1364, 0.0000) [4 per cell]
Sn (0.2500, 0.4153, 0.9920) [4 per cell]
H (0.2500, 0.4167, 0.3677) [4 per cell]

Top 12 peaks for 15° ≤ 2θ ≤ 90°, sorted by position:
index, Position (°2θ), I/Imax
0 2 0, 15.35, 34
0 1 1, 19.61, 92
1 2 0, 24.85, 48
1 1 1, 27.74, 68
1 3 1, 35.54, 100
0 0 2, 36.52, 28
1 4 0, 36.83, 31
2 0 0, 39.43, 23
2 1 1, 44.41, 24
1 2 2, 44.68, 21
1 4 2, 52.84, 22
1 3 3, 65.10, 18